1.
The following is a simulated powder XRD pattern of Dy3YRh. It was derived from a cell relaxed with GGA-PBE, using λ = 1.5418 Å (Cu Kα).
Neutral-atom scattering factors, no anomalous dispersion.

Cell and atoms:
Cell lengths 6.288, 6.288, 13.692 Å; angles 114.01, 114.01, 34.77 degrees
Element x y z (fractional)
Dy: 0.000 0.000 0.000
Dy: 0.013 0.013 0.363
Dy: 0.345 0.345 0.474
Dy: 0.453 0.453 0.754
Dy: 0.660 0.660 0.239
Dy: 0.675 0.675 0.601
Y: 0.222 0.222 0.845
Y: 0.329 0.329 0.126
Rh: 0.012 0.012 0.628
Rh: 0.658 0.658 0.969

Top 10 peaks for 10° ≤ 2θ ≤ 90°, in order of falling intensity:
d_spacing	Rel. int.
2.900	100
2.607	76
2.766	68
2.723	51
2.908	46
1.558	38
1.879	37
2.593	32
2.737	31
1.554	24

***

2.
The following is a simulated powder XRD pattern of CePm3Te4. It was derived from a cell relaxed with GGA-PBE, using λ = 1.5418 Å (Cu Kα).
Neutral-atom scattering factors, no anomalous dispersion.

Cell and atoms:
Cell lengths 9.019, 12.643, 4.437 Å; angles 90.00, 90.00, 90.00 degrees
Element x y z (fractional)
Ce: 0.000 0.000 0.000
Ce: 0.500 0.500 0.000
Pm: 0.000 0.500 0.000
Pm: 0.250 0.250 0.500
Pm: 0.250 0.750 0.500
Pm: 0.500 0.000 0.000
Pm: 0.750 0.250 0.500
Pm: 0.750 0.750 0.500
Te: 0.000 0.250 0.000
Te: 0.000 0.750 0.000
Te: 0.249 0.500 0.500
Te: 0.251 0.000 0.500
Te: 0.500 0.250 0.000
Te: 0.500 0.750 0.000
Te: 0.749 0.000 0.500
Te: 0.751 0.500 0.500

Top 10 peaks for 10° ≤ 2θ ≤ 90°, in order of falling intensity:
d_spacing	Rel. int.
3.162	100
2.236	51
1.414	23
1.836	14
1.816	13
2.255	13
1.581	13
2.218	12
1.298	9
1.284	8

***

3.
The following is a simulated powder XRD pattern of Sm3DyTm4. It was derived from a cell relaxed with GGA-PBE, using λ = 1.5418 Å (Cu Kα).
Neutral-atom scattering factors, no anomalous dispersion.

Cell and atoms:
Cell lengths 11.278, 7.254, 6.258 Å; angles 90.00, 90.00, 90.00 degrees
Element x y z (fractional)
Sm: 0.000 0.127 0.000
Sm: 0.250 0.127 0.335
Sm: 0.250 0.873 0.835
Sm: 0.500 0.873 0.500
Sm: 0.750 0.127 0.335
Sm: 0.750 0.873 0.835
Dy: 0.000 0.871 0.500
Dy: 0.500 0.129 0.000
Tm: 0.000 0.378 0.501
Tm: 0.000 0.622 0.001
Tm: 0.249 0.622 0.334
Tm: 0.251 0.378 0.834
Tm: 0.500 0.378 0.501
Tm: 0.500 0.622 0.001
Tm: 0.749 0.378 0.834
Tm: 0.751 0.622 0.334

Top 10 peaks for 10° ≤ 2θ ≤ 90°, in order of falling intensity:
d_spacing	Rel. int.
2.740	100
2.820	24
3.135	24
1.612	20
2.096	16
1.522	15
1.808	13
1.512	11
1.525	8
1.813	7

***

4.
The following is a simulated powder XRD pattern of Mn3Te2Se4. It was derived from a cell relaxed with GGA-PBE, using λ = 1.5418 Å (Cu Kα).
Neutral-atom scattering factors, no anomalous dispersion.

Cell and atoms:
Cell lengths 3.494, 3.494, 25.228 Å; angles 90.00, 90.00, 120.00 degrees
Element x y z (fractional)
Mn: 0.000 0.000 0.000
Mn: 0.333 0.667 0.263
Mn: 0.333 0.667 0.737
Te: 0.333 0.667 0.069
Te: 0.333 0.667 0.931
Se: 0.000 0.000 0.205
Se: 0.000 0.000 0.323
Se: 0.000 0.000 0.677
Se: 0.000 0.000 0.795

Top 10 peaks for 10° ≤ 2θ ≤ 90°, in order of falling intensity:
d_spacing	Rel. int.
2.456	100
2.056	58
3.026	56
8.409	56
1.747	43
3.004	33
2.595	32
2.942	32
1.938	27
6.307	19

***

5.
The following is a simulated powder XRD pattern of AlCdSnF6. It was derived from a cell relaxed with GGA-PBE, using λ = 1.5418 Å (Cu Kα).
Neutral-atom scattering factors, no anomalous dispersion.

Cell and atoms:
Cell lengths 4.924, 5.314, 5.563 Å; angles 85.07, 71.86, 73.71 degrees
Element x y z (fractional)
Al: 0.000 0.000 0.000
Cd: 0.332 0.386 0.368
Sn: 0.652 0.635 0.630
F: 0.183 0.131 0.168
F: 0.256 0.669 0.998
F: 0.278 0.022 0.692
F: 0.740 0.941 0.299
F: 0.760 0.323 0.973
F: 0.797 0.868 0.832

Top 10 peaks for 10° ≤ 2θ ≤ 90°, in order of falling intensity:
d_spacing	Rel. int.
3.651	100
3.674	94
3.013	60
3.002	58
1.971	43
1.962	29
2.301	26
1.838	26
5.101	24
2.446	24

***

6.
The following is a simulated powder XRD pattern of SmPa2FeN4. It was derived from a cell relaxed with GGA-PBE, using λ = 1.5418 Å (Cu Kα).
Neutral-atom scattering factors, no anomalous dispersion.

Cell and atoms:
Cell lengths 6.058, 6.058, 11.437 Å; angles 90.00, 90.00, 147.50 degrees
Element x y z (fractional)
Sm: 0.105 0.895 0.750
Sm: 0.895 0.105 0.250
Pa: 0.368 0.632 0.561
Pa: 0.368 0.632 0.939
Pa: 0.632 0.368 0.061
Pa: 0.632 0.368 0.439
Fe: 0.157 0.843 0.250
Fe: 0.843 0.157 0.750
N: 0.000 0.000 0.000
N: 0.000 0.000 0.500
N: 0.272 0.728 0.119
N: 0.272 0.728 0.381
N: 0.446 0.554 0.750
N: 0.554 0.446 0.250
N: 0.728 0.272 0.619
N: 0.728 0.272 0.881

Top 10 peaks for 10° ≤ 2θ ≤ 90°, in order of falling intensity:
d_spacing	Rel. int.
3.188	100
2.829	75
2.331	59
2.908	56
2.491	29
1.871	27
2.475	24
1.713	24
1.497	23
1.703	21

***

7.
The following is a simulated powder XRD pattern of La3GaNi2. It was derived from a cell relaxed with GGA-PBE, using λ = 1.5418 Å (Cu Kα).
Neutral-atom scattering factors, no anomalous dispersion.

Cell and atoms:
Cell lengths 6.035, 11.651, 9.120 Å; angles 90.00, 110.59, 90.00 degrees
Element x y z (fractional)
La: 0.173 0.233 0.329
La: 0.173 0.267 0.829
La: 0.222 0.595 0.985
La: 0.222 0.905 0.485
La: 0.307 0.550 0.602
La: 0.307 0.950 0.102
La: 0.693 0.050 0.898
La: 0.693 0.450 0.398
La: 0.778 0.095 0.515
La: 0.778 0.405 0.015
La: 0.827 0.733 0.171
La: 0.827 0.767 0.671
Ga: 0.410 0.697 0.330
Ga: 0.410 0.803 0.830
Ga: 0.590 0.197 0.170
Ga: 0.590 0.303 0.670
Ni: 0.165 0.509 0.279
Ni: 0.165 0.991 0.779
Ni: 0.335 0.130 0.625
Ni: 0.335 0.370 0.125
Ni: 0.665 0.630 0.875
Ni: 0.665 0.870 0.375
Ni: 0.835 0.009 0.221
Ni: 0.835 0.491 0.721

Top 10 peaks for 10° ≤ 2θ ≤ 90°, in order of falling intensity:
d_spacing	Rel. int.
3.200	100
2.851	78
2.383	51
2.825	46
2.760	44
2.865	40
3.400	36
2.628	31
2.249	29
2.782	28

***

8.
The following is a simulated powder XRD pattern of Zn2Hg2Se2O9. It was derived from a cell relaxed with GGA-PBE, using λ = 1.5418 Å (Cu Kα).
Neutral-atom scattering factors, no anomalous dispersion.

Cell and atoms:
Cell lengths 8.801, 8.801, 5.326 Å; angles 98.78, 98.78, 43.10 degrees
Element x y z (fractional)
Zn: 0.239 0.761 0.000
Zn: 0.761 0.239 0.000
Hg: 0.166 0.166 0.858
Hg: 0.324 0.324 0.920
Se: 0.669 0.669 0.359
Se: 0.872 0.872 0.431
O: 0.036 0.036 0.844
O: 0.099 0.661 0.590
O: 0.409 0.838 0.231
O: 0.454 0.454 0.036
O: 0.661 0.099 0.590
O: 0.690 0.690 0.670
O: 0.768 0.768 0.232
O: 0.838 0.409 0.231
O: 0.929 0.929 0.193

Top 10 peaks for 10° ≤ 2θ ≤ 90°, in order of falling intensity:
d_spacing	Rel. int.
4.079	100
3.839	54
5.254	35
6.003	25
2.627	25
3.001	24
2.039	24
2.692	20
3.233	18
2.677	18